Structure and calculated powder X-ray diffraction pattern of Hf3AuC2 (DFT lattice parameters and positions (PBE); λ = 1.5418 Å (Cu Kα)).

Top 12 peaks for 2θ = 15–90°, low angle first:
two_theta	Rel. int.	h k l
31.35	9	1 0 0
31.70	23	1 0 1
34.34	10	1 0 3
36.52	100	1 0 4
36.99	24	0 0 8
39.16	21	1 0 5
49.26	7	1 0 8
53.19	10	1 0 9
55.81	27	1 1 0
66.36	16	1 0 12
68.55	16	2 0 4
68.86	25	1 1 8

Atomic structure:
```
Hf3AuC2
1.0
3.295 0.000 0.000
-1.647 2.853 0.000
0.000 0.000 19.439
Hf Au C
6 2 4
Cartesian
0.000 0.000 0.000
0.000 0.000 9.720
0.000 1.902 2.593
0.000 1.902 7.127
1.647 0.951 12.312
1.647 0.951 16.847
0.000 0.000 4.860
0.000 0.000 14.580
0.000 1.902 11.105
0.000 1.902 18.054
1.647 0.951 1.385
1.647 0.951 8.335
```